Record 1
Starting from a structure optimized by DFT (GGA-PBE), the powder diffraction line list of Cs2TbHoTe4 was calculated for Cu Kα.
Intensities are scaled so that the largest is 100.

Crystal structure
```
Cs2TbHoTe4
1.0
4.547 0.000 0.000
-2.274 3.938 0.000
0.000 0.000 17.794
Cs Tb Ho Te
2 1 1 4
Cartesian
0.000 2.625 4.448
2.274 1.313 13.345
0.000 0.000 8.897
0.000 0.000 0.000
0.000 2.625 10.593
0.000 2.625 16.103
2.274 1.313 1.690
2.274 1.313 7.201
```

The 12 most intense peaks (2θ from 10° to 90°), low angle first:
- 2θ = 24.72°, d 3.601, intensity 39
- 2θ = 27.18°, d 3.281, intensity 100
- 2θ = 30.31°, d 2.949, intensity 25
- 2θ = 37.98°, d 2.369, intensity 45
- 2θ = 39.64°, d 2.274, intensity 51
- 2θ = 48.73°, d 1.869, intensity 20
- 2θ = 51.74°, d 1.767, intensity 13
- 2θ = 56.06°, d 1.640, intensity 14
- 2θ = 58.01°, d 1.590, intensity 11
- 2θ = 64.55°, d 1.444, intensity 17
- 2θ = 70.83°, d 1.330, intensity 14
- 2θ = 76.73°, d 1.242, intensity 10



Record 2
Starting from a structure optimized by DFT (GGA-PBE), the powder diffraction line list of LiLuFeS3 was calculated for Cu Kα.
Intensities are scaled so that the largest is 100.

Crystal structure
```
LiLuFeS3
1.0
12.836 0.000 0.000
0.000 3.716 0.000
0.000 0.000 10.472
Li Lu Fe S
4 4 4 12
Cartesian
2.896 0.929 1.857
3.522 2.787 7.094
9.313 0.929 3.379
9.940 2.787 8.615
0.360 2.787 8.857
6.058 0.929 3.621
6.778 2.787 6.851
12.476 0.929 1.615
0.244 0.929 6.107
6.174 2.787 0.871
6.662 0.929 9.601
12.592 2.787 4.365
1.114 0.929 3.959
1.371 2.787 0.811
1.887 0.929 7.727
4.531 2.787 2.490
5.047 0.929 6.048
5.304 2.787 9.195
7.532 0.929 1.277
7.789 2.787 4.425
8.305 0.929 7.982
10.949 2.787 2.746
11.464 0.929 9.661
11.722 2.787 6.513
```

The 12 most intense peaks (2θ from 10° to 90°), low angle first:
- 2θ = 10.90°, d 8.114, intensity 12
- 2θ = 13.80°, d 6.418, intensity 100
- 2θ = 26.44°, d 3.371, intensity 21
- 2θ = 29.06°, d 3.073, intensity 23
- 2θ = 30.30°, d 2.949, intensity 31
- 2θ = 33.08°, d 2.708, intensity 24
- 2θ = 36.33°, d 2.473, intensity 27
- 2θ = 37.07°, d 2.425, intensity 13
- 2θ = 43.75°, d 2.069, intensity 9
- 2θ = 46.35°, d 1.959, intensity 15
- 2θ = 49.99°, d 1.825, intensity 13
- 2θ = 52.12°, d 1.755, intensity 11



Record 3
Starting from a structure optimized by DFT (GGA-PBE), the powder diffraction line list of Ho2Tm3Al3 was calculated for Cu Kα.
Intensities are scaled so that the largest is 100.

Crystal structure
```
Ho2Tm3Al3
1.0
6.437 0.000 0.000
0.000 4.902 0.000
-1.323 0.000 6.317
Ho Tm Al
2 3 3
Cartesian
0.000 0.000 0.000
0.847 2.451 4.967
-0.635 0.000 3.161
2.587 0.000 3.160
4.324 2.451 1.369
1.050 2.451 1.784
3.235 0.000 0.019
4.111 2.451 4.534
```

The 12 most intense peaks (2θ from 10° to 90°), low angle first:
- 2θ = 21.87°, d 4.064, intensity 14
- 2θ = 22.98°, d 3.871, intensity 15
- 2θ = 25.44°, d 3.501, intensity 23
- 2θ = 33.79°, d 2.653, intensity 100
- 2θ = 34.32°, d 2.613, intensity 16
- 2θ = 35.90°, d 2.501, intensity 22
- 2θ = 36.66°, d 2.451, intensity 22
- 2θ = 44.60°, d 2.032, intensity 9
- 2θ = 52.25°, d 1.751, intensity 15
- 2θ = 59.05°, d 1.564, intensity 8
- 2θ = 63.12°, d 1.473, intensity 8
- 2θ = 64.19°, d 1.451, intensity 16



Record 4
Starting from a structure optimized by DFT (GGA-PBE), the powder diffraction line list of CsEr2Cu3S5 was calculated for Cu Kα.
Intensities are scaled so that the largest is 100.

Crystal structure
```
CsEr2Cu3S5
1.0
1.974 -7.006 0.000
1.974 7.006 0.000
0.000 0.000 16.672
Cs Er Cu S
2 4 6 10
Cartesian
1.974 6.107 12.504
1.974 -6.107 4.168
1.974 4.301 1.535
1.974 4.301 6.801
1.974 -4.301 9.871
1.974 -4.301 15.137
1.974 2.172 12.504
1.974 1.163 0.622
1.974 1.163 7.713
1.974 -1.163 8.958
1.974 -1.163 16.049
1.974 -2.172 4.168
1.974 4.629 9.470
1.974 4.629 15.537
1.974 3.748 4.168
1.974 0.889 10.155
1.974 0.889 14.852
1.974 -0.889 1.820
1.974 -0.889 6.516
1.974 -3.748 12.504
1.974 -4.629 1.134
1.974 -4.629 7.201
```

The 12 most intense peaks (2θ from 10° to 90°), low angle first:
- 2θ = 12.64°, d 7.006, intensity 26
- 2θ = 25.99°, d 3.428, intensity 58
- 2θ = 28.46°, d 3.136, intensity 100
- 2θ = 29.64°, d 3.014, intensity 38
- 2θ = 30.12°, d 2.967, intensity 53
- 2θ = 31.56°, d 2.835, intensity 47
- 2θ = 32.22°, d 2.779, intensity 58
- 2θ = 36.79°, d 2.443, intensity 47
- 2θ = 39.43°, d 2.285, intensity 37
- 2θ = 40.95°, d 2.204, intensity 32
- 2θ = 45.98°, d 1.974, intensity 39
- 2θ = 48.72°, d 1.869, intensity 45



- What is the formula in the fourth record?
  CsEr2Cu3S5